(1)
Computed powder diffractogram of Ca3GaGe3 for a wavelength of 1.5418 Å, from the PBE geometry in Alexandria.

Most intense lines, 2θ = 5–70°, by angle:
- d = 4.401 Å, 2θ = 20.2°, rel. 53
- d = 2.882 Å, 2θ = 31.0°, rel. 100
- d = 2.858 Å, 2θ = 31.3°, rel. 33
- d = 2.534 Å, 2θ = 35.4°, rel. 29
- d = 2.266 Å, 2θ = 39.8°, rel. 39
- d = 2.212 Å, 2θ = 40.8°, rel. 49
- d = 2.158 Å, 2θ = 41.9°, rel. 53
- d = 2.043 Å, 2θ = 44.3°, rel. 28
- d = 1.583 Å, 2θ = 58.3°, rel. 33
- d = 1.517 Å, 2θ = 61.1°, rel. 21

Structure:
Cell: 9.6984 9.6984 9.6984 Å, 155.68 152.97 36.67°
Sites, in units of the cell vectors:
Ca 0.0000 0.0000 0.0000
Ca 0.1868 0.6868 0.5000
Ca 0.3667 0.3667 0.0000
Ga 0.6155 0.1155 0.5000
Ge 0.5367 0.5367 0.0000
Ge 0.7505 0.2505 0.5000
Ge 0.8347 0.8347 0.0000



(2)
Computed powder diffractogram of Ca5GaGe2 for a wavelength of 1.5418 Å, from the PBE geometry in Alexandria.

Most intense lines, 2θ = 5–70°, by angle:
- d = 7.488 Å, 2θ = 11.8°, rel. 22
- d = 4.436 Å, 2θ = 20.0°, rel. 39
- d = 2.856 Å, 2θ = 31.3°, rel. 100
- d = 2.754 Å, 2θ = 32.5°, rel. 17
- d = 2.699 Å, 2θ = 33.2°, rel. 50
- d = 2.463 Å, 2θ = 36.5°, rel. 50
- d = 2.272 Å, 2θ = 39.7°, rel. 32
- d = 2.138 Å, 2θ = 42.3°, rel. 19
- d = 1.873 Å, 2θ = 48.6°, rel. 20
- d = 1.415 Å, 2θ = 66.0°, rel. 23

Structure:
Cell: 9.2952 9.2952 9.2952 Å, 130.47 130.47 72.66°
Sites, in units of the cell vectors:
Ca 0.0000 0.0000 0.0000
Ca 0.0356 0.5356 0.8529
Ca 0.1827 0.0356 0.5000
Ca 0.3173 0.8173 0.8529
Ca 0.4644 0.3173 0.5000
Ca 0.5000 0.5000 0.0000
Ca 0.5356 0.6827 0.5000
Ca 0.6827 0.1827 0.1471
Ca 0.8173 0.9644 0.5000
Ca 0.9644 0.4644 0.1471
Ga 0.2500 0.2500 0.0000
Ga 0.7500 0.7500 0.0000
Ge 0.1169 0.3831 0.5000
Ge 0.3831 0.8831 0.2663
Ge 0.6169 0.1169 0.7337
Ge 0.8831 0.6169 0.5000



(3)
Computed powder diffractogram of Ca2GaGe3 for a wavelength of 1.5418 Å, from the PBE geometry in Alexandria.

Most intense lines, 2θ = 5–70°, by angle:
- d = 3.532 Å, 2θ = 25.2°, rel. 24
- d = 2.831 Å, 2θ = 31.6°, rel. 40
- d = 2.796 Å, 2θ = 32.0°, rel. 43
- d = 2.611 Å, 2θ = 34.3°, rel. 53
- d = 2.584 Å, 2θ = 34.7°, rel. 36
- d = 2.425 Å, 2θ = 37.1°, rel. 100
- d = 2.289 Å, 2θ = 39.4°, rel. 22
- d = 2.262 Å, 2θ = 39.9°, rel. 29
- d = 2.126 Å, 2θ = 42.5°, rel. 46
- d = 1.981 Å, 2θ = 45.8°, rel. 22

Structure:
Cell: 5.9897 5.9897 7.0654 Å, 124.90 124.90 41.58°
Sites, in units of the cell vectors:
Ca 0.0000 0.0000 0.0000
Ca 0.1283 0.1283 0.6306
Ga 0.7252 0.7252 0.4072
Ge 0.3993 0.3993 0.5990
Ge 0.4079 0.4079 0.2230
Ge 0.7227 0.7227 0.0208



(4)
Computed powder diffractogram of Ca3GaGe4 for a wavelength of 1.5418 Å, from the PBE geometry in Alexandria.

Most intense lines, 2θ = 5–70°, by angle:
- d = 4.311 Å, 2θ = 20.6°, rel. 100
- d = 3.253 Å, 2θ = 27.4°, rel. 66
- d = 2.642 Å, 2θ = 33.9°, rel. 42
- d = 2.571 Å, 2θ = 34.9°, rel. 46
- d = 2.441 Å, 2θ = 36.8°, rel. 32
- d = 2.363 Å, 2θ = 38.1°, rel. 63
- d = 2.242 Å, 2θ = 40.2°, rel. 47
- d = 2.234 Å, 2θ = 40.4°, rel. 55
- d = 1.960 Å, 2θ = 46.3°, rel. 35
- d = 1.626 Å, 2θ = 56.6°, rel. 50

Structure:
Cell: 8.6798 8.6798 8.6798 Å, 150.06 140.11 50.66°
Sites, in units of the cell vectors:
Ca 0.0000 0.0000 0.0000
Ca 0.3070 0.8070 0.5000
Ca 0.6930 0.1930 0.5000
Ga 0.5000 0.5000 0.0000
Ge 0.0841 0.3788 0.7053
Ge 0.3265 0.6212 0.7053
Ge 0.6735 0.3788 0.2947
Ge 0.9159 0.6212 0.2947



(5)
Computed powder diffractogram of CaGaGe2 for a wavelength of 1.5418 Å, from the PBE geometry in Alexandria.

Most intense lines, 2θ = 5–70°, by angle:
- d = 3.209 Å, 2θ = 27.8°, rel. 69
- d = 2.733 Å, 2θ = 32.8°, rel. 31
- d = 2.644 Å, 2θ = 33.9°, rel. 75
- d = 2.528 Å, 2θ = 35.5°, rel. 100
- d = 2.300 Å, 2θ = 39.2°, rel. 26
- d = 2.085 Å, 2θ = 43.4°, rel. 30
- d = 1.986 Å, 2θ = 45.7°, rel. 31
- d = 1.748 Å, 2θ = 52.3°, rel. 39
- d = 1.658 Å, 2θ = 55.4°, rel. 29
- d = 1.355 Å, 2θ = 69.4°, rel. 26

Structure:
Cell: 10.4249 10.4249 6.4186 Å, 90.00 90.00 90.00°
Sites, in units of the cell vectors:
Ca 0.1720 0.3280 0.2500
Ca 0.1720 0.3280 0.7500
Ca 0.3280 0.8280 0.2500
Ca 0.3280 0.8280 0.7500
Ca 0.6720 0.1720 0.2500
Ca 0.6720 0.1720 0.7500
Ca 0.8280 0.6720 0.2500
Ca 0.8280 0.6720 0.7500
Ga 0.0563 0.8395 0.0000
Ga 0.1605 0.0563 0.5000
Ga 0.3395 0.5563 0.5000
Ga 0.4437 0.3395 0.0000
Ga 0.5563 0.6605 0.0000
Ga 0.6605 0.4437 0.5000
Ga 0.8395 0.9437 0.5000
Ga 0.9437 0.1605 0.0000
Ge 0.0591 0.8303 0.5000
Ge 0.0875 0.5931 0.0000
Ge 0.0931 0.5875 0.5000
Ge 0.1697 0.0591 0.0000
Ge 0.3303 0.5591 0.0000
Ge 0.4069 0.0875 0.5000
Ge 0.4125 0.0931 0.0000
Ge 0.4409 0.3303 0.5000
Ge 0.5591 0.6697 0.5000
Ge 0.5875 0.9069 0.0000
Ge 0.5931 0.9125 0.5000
Ge 0.6697 0.4409 0.0000
Ge 0.8303 0.9409 0.0000
Ge 0.9069 0.4125 0.5000
Ge 0.9125 0.4069 0.0000
Ge 0.9409 0.1697 0.5000



(6)
Computed powder diffractogram of LiCa2Ga3Ge4 for a wavelength of 1.5418 Å, from the PBE geometry in Alexandria.

Most intense lines, 2θ = 5–70°, by angle:
- d = 10.348 Å, 2θ = 8.5°, rel. 23
- d = 4.133 Å, 2θ = 21.5°, rel. 57
- d = 2.739 Å, 2θ = 32.7°, rel. 71
- d = 2.714 Å, 2θ = 33.0°, rel. 100
- d = 2.254 Å, 2θ = 40.0°, rel. 97
- d = 2.009 Å, 2θ = 45.1°, rel. 72
- d = 1.881 Å, 2θ = 48.4°, rel. 36
- d = 1.740 Å, 2θ = 52.6°, rel. 35
- d = 1.594 Å, 2θ = 57.9°, rel. 32
- d = 1.444 Å, 2θ = 64.5°, rel. 27

Structure:
Cell: 4.5078 4.5078 10.3480 Å, 90.00 90.00 90.00°
Sites, in units of the cell vectors:
Li 0.0000 0.0000 0.0000
Ca 0.0000 0.5000 0.7530
Ca 0.5000 0.0000 0.2470
Ga 0.0000 0.5000 0.3693
Ga 0.5000 0.0000 0.6307
Ga 0.5000 0.5000 0.0000
Ge 0.0000 0.0000 0.5000
Ge 0.0000 0.5000 0.1309
Ge 0.5000 0.0000 0.8691
Ge 0.5000 0.5000 0.5000



Please write out number 4 again, unchanged.
Computed powder diffractogram of Ca3GaGe4 for a wavelength of 1.5418 Å, from the PBE geometry in Alexandria.

Most intense lines, 2θ = 5–70°, by angle:
- d = 4.311 Å, 2θ = 20.6°, rel. 100
- d = 3.253 Å, 2θ = 27.4°, rel. 66
- d = 2.642 Å, 2θ = 33.9°, rel. 42
- d = 2.571 Å, 2θ = 34.9°, rel. 46
- d = 2.441 Å, 2θ = 36.8°, rel. 32
- d = 2.363 Å, 2θ = 38.1°, rel. 63
- d = 2.242 Å, 2θ = 40.2°, rel. 47
- d = 2.234 Å, 2θ = 40.4°, rel. 55
- d = 1.960 Å, 2θ = 46.3°, rel. 35
- d = 1.626 Å, 2θ = 56.6°, rel. 50

Structure:
Cell: 8.6798 8.6798 8.6798 Å, 150.06 140.11 50.66°
Sites, in units of the cell vectors:
Ca 0.0000 0.0000 0.0000
Ca 0.3070 0.8070 0.5000
Ca 0.6930 0.1930 0.5000
Ga 0.5000 0.5000 0.0000
Ge 0.0841 0.3788 0.7053
Ge 0.3265 0.6212 0.7053
Ge 0.6735 0.3788 0.2947
Ge 0.9159 0.6212 0.2947